Entry 1:
Diffraction record for Ta3B2. The X-ray diffraction stick pattern is calculated, not measured: it uses DFT lattice parameters and positions (PBE) and Cu Kα (λ = 1.5418 Å).
No peak broadening, texture or thermal motion is included.

Largest 8 diffraction maxima, sorted by position, 2θ from 15° to 90°:
- 32.21 deg, intensity 663
- 33.96 deg, intensity 552
- 39.84 deg, intensity 1000
- 41.08 deg, intensity 279
- 42.52 deg, intensity 728
- 46.19 deg, intensity 476
- 68.43 deg, intensity 243
- 70.31 deg, intensity 324

a b c (Å): 6.2143 6.2143 3.3014
angles (deg): 90.00 90.00 90.00
Element x y z (fractional)
1 Ta 0.0000 0.0000 0.0000
2 Ta 0.1770 0.3230 0.5000
3 Ta 0.3230 0.8230 0.5000
4 Ta 0.5000 0.5000 0.0000
5 Ta 0.6770 0.1770 0.5000
6 Ta 0.8230 0.6770 0.5000
7 B 0.1083 0.6083 0.0000
8 B 0.3917 0.1083 0.0000
9 B 0.6083 0.8917 0.0000
10 B 0.8917 0.3917 0.0000

Entry 2:
Diffraction record for YFe10Mo2N. The X-ray diffraction stick pattern is calculated, not measured: it uses DFT lattice parameters and positions (PBE) and Cu Kα (λ = 1.5418 Å).
No peak broadening, texture or thermal motion is included.

Largest 8 diffraction maxima, sorted by position, 2θ from 15° to 90°:
- 37.19 deg, intensity 310
- 37.33 deg, intensity 297
- 38.19 deg, intensity 237
- 42.81 deg, intensity 367
- 43.21 deg, intensity 1000
- 44.02 deg, intensity 809
- 48.41 deg, intensity 323
- 49.30 deg, intensity 424

a b c (Å): 6.4092 6.4092 6.4092
angles (deg): 136.85 98.01 97.53
Element x y z (fractional)
1 Y 0.0000 0.0000 0.0000
2 Fe 0.0000 0.0000 0.5000
3 Fe 0.0000 0.5000 0.0000
4 Fe 0.2155 0.7155 0.5000
5 Fe 0.2200 0.5000 0.7200
6 Fe 0.3642 0.3642 0.0000
7 Fe 0.5000 0.0000 0.0000
8 Fe 0.5000 0.5000 0.5000
9 Fe 0.6358 0.6358 0.0000
10 Fe 0.7800 0.5000 0.2800
11 Fe 0.7845 0.2845 0.5000
12 Mo 0.3551 0.0000 0.3551
13 Mo 0.6449 0.0000 0.6449
14 N 0.0000 0.5000 0.5000

Entry 3:
Diffraction record for Rb3AuF6. The X-ray diffraction stick pattern is calculated, not measured: it uses DFT lattice parameters and positions (PBE) and Cu Kα (λ = 1.5418 Å).
No peak broadening, texture or thermal motion is included.

Largest 8 diffraction maxima, sorted by position, 2θ from 15° to 90°:
- 16.07 deg, intensity 194
- 18.57 deg, intensity 151
- 26.38 deg, intensity 1000
- 37.65 deg, intensity 356
- 46.56 deg, intensity 420
- 54.31 deg, intensity 228
- 61.36 deg, intensity 205
- 74.28 deg, intensity 232

a b c (Å): 6.7566 6.7566 6.7566
angles (deg): 60.00 60.00 60.00
Element x y z (fractional)
1 Rb 0.0000 0.0000 0.0000
2 Rb 0.2500 0.2500 0.2500
3 Rb 0.7500 0.7500 0.7500
4 Au 0.5000 0.5000 0.5000
5 F 0.2752 0.2752 0.7248
6 F 0.2752 0.7248 0.2752
7 F 0.2752 0.7248 0.7248
8 F 0.7248 0.2752 0.2752
9 F 0.7248 0.2752 0.7248
10 F 0.7248 0.7248 0.2752

Entry 4:
Diffraction record for La4Sb3. The X-ray diffraction stick pattern is calculated, not measured: it uses DFT lattice parameters and positions (PBE) and Cu Kα (λ = 1.5418 Å).
No peak broadening, texture or thermal motion is included.

Largest 8 diffraction maxima, sorted by position, 2θ from 15° to 90°:
- 29.06 deg, intensity 1000
- 34.54 deg, intensity 659
- 45.74 deg, intensity 165
- 47.72 deg, intensity 226
- 58.56 deg, intensity 260
- 60.23 deg, intensity 119
- 61.88 deg, intensity 144
- 71.32 deg, intensity 158

a b c (Å): 8.4154 8.4154 8.4154
angles (deg): 109.47 109.47 109.47
Element x y z (fractional)
1 La 0.0000 0.1421 0.5000
2 La 0.0000 0.6421 0.5000
3 La 0.1421 0.5000 0.0000
4 La 0.3579 0.3579 0.3579
5 La 0.5000 0.0000 0.1421
6 La 0.5000 0.0000 0.6421
7 La 0.6421 0.5000 0.0000
8 La 0.8579 0.8579 0.8579
9 Sb 0.1250 0.8750 0.2500
10 Sb 0.2500 0.1250 0.8750
11 Sb 0.3750 0.6250 0.7500
12 Sb 0.6250 0.7500 0.3750
13 Sb 0.7500 0.3750 0.6250
14 Sb 0.8750 0.2500 0.1250

Entry 5:
Diffraction record for Na3ScNbSi2PO12. The X-ray diffraction stick pattern is calculated, not measured: it uses DFT lattice parameters and positions (PBE) and Cu Kα (λ = 1.5418 Å).
No peak broadening, texture or thermal motion is included.

Largest 8 diffraction maxima, sorted by position, 2θ from 15° to 90°:
- 19.29 deg, intensity 631
- 19.50 deg, intensity 514
- 22.81 deg, intensity 478
- 27.57 deg, intensity 355
- 30.25 deg, intensity 188
- 30.76 deg, intensity 1000
- 34.11 deg, intensity 488
- 46.55 deg, intensity 222

a b c (Å): 9.1015 9.1015 9.2111
angles (deg): 119.69 119.69 60.10
Element x y z (fractional)
1 Na 0.0571 0.9429 0.5000
2 Na 0.3125 0.8214 0.2417
3 Na 0.5591 0.7150 0.0035
4 Na 0.7150 0.5591 0.5035
5 Na 0.8214 0.3125 0.7417
6 Na 0.9429 0.0571 0.0000
7 Sc 0.1653 0.6709 0.8110
8 Sc 0.6709 0.1653 0.3110
9 Nb 0.4647 0.9737 0.6964
10 Nb 0.9737 0.4647 0.1964
11 Si 0.0720 0.2773 0.5051
12 Si 0.2773 0.0720 0.0051
13 Si 0.7776 0.8651 0.5089
14 Si 0.8651 0.7776 0.0089
15 P 0.3645 0.5734 0.5117
16 P 0.5734 0.3645 0.0117
17 O 0.0399 0.3107 0.3250
18 O 0.0427 0.7547 0.9897
19 O 0.0908 0.2490 0.0215
20 O 0.0965 0.4542 0.6691
21 O 0.1884 0.5452 0.3472
22 O 0.2490 0.0908 0.5215
23 O 0.2510 0.9000 0.9881
24 O 0.3107 0.0399 0.8250
25 O 0.3418 0.6074 0.6791
26 O 0.3715 0.7460 0.5160
27 O 0.4195 0.5365 0.9859
28 O 0.4542 0.0965 0.1691
29 O 0.5365 0.4195 0.4859
30 O 0.5452 0.1884 0.8472
31 O 0.5979 0.8733 0.5237
32 O 0.6074 0.3418 0.1791
33 O 0.6774 0.8164 0.8328
34 O 0.7460 0.3715 0.0160
35 O 0.7547 0.0427 0.4897
36 O 0.8164 0.6774 0.3328
37 O 0.8376 0.9510 0.1815
38 O 0.8733 0.5979 0.0237
39 O 0.9000 0.2510 0.4881
40 O 0.9510 0.8376 0.6815

Entry 6:
Diffraction record for TmGaO3. The X-ray diffraction stick pattern is calculated, not measured: it uses DFT lattice parameters and positions (PBE) and Cu Kα (λ = 1.5418 Å).
No peak broadening, texture or thermal motion is included.

Largest 8 diffraction maxima, sorted by position, 2θ from 15° to 90°:
- 15.18 deg, intensity 281
- 29.63 deg, intensity 383
- 30.64 deg, intensity 574
- 33.46 deg, intensity 1000
- 43.15 deg, intensity 286
- 52.58 deg, intensity 356
- 56.29 deg, intensity 242
- 62.09 deg, intensity 288

a b c (Å): 6.0295 6.0295 11.6697
angles (deg): 90.00 90.00 120.00
Element x y z (fractional)
1 Tm 0.0000 0.0000 0.0000
2 Tm 0.0000 0.0000 0.5000
3 Tm 0.3333 0.6667 0.4586
4 Tm 0.3333 0.6667 0.9586
5 Tm 0.6667 0.3333 0.4586
6 Tm 0.6667 0.3333 0.9586
7 Ga 0.0000 0.3342 0.2257
8 Ga 0.0000 0.6658 0.7257
9 Ga 0.3342 0.0000 0.2257
10 Ga 0.3342 0.3342 0.7257
11 Ga 0.6658 0.0000 0.7257
12 Ga 0.6658 0.6658 0.2257
13 O 0.0000 0.0000 0.2013
14 O 0.0000 0.0000 0.7013
15 O 0.0000 0.3064 0.3898
16 O 0.0000 0.3599 0.0629
17 O 0.0000 0.6401 0.5629
18 O 0.0000 0.6936 0.8898
19 O 0.3064 0.0000 0.3898
20 O 0.3064 0.3064 0.8898
21 O 0.3333 0.6667 0.2466
22 O 0.3333 0.6667 0.7466
23 O 0.3599 0.0000 0.0629
24 O 0.3599 0.3599 0.5629
25 O 0.6401 0.0000 0.5629
26 O 0.6401 0.6401 0.0629
27 O 0.6667 0.3333 0.2466
28 O 0.6667 0.3333 0.7466
29 O 0.6936 0.0000 0.8898
30 O 0.6936 0.6936 0.3898